Calculated X-ray diffraction stick pattern of LiCa2ReO6 for Cu Kα, 1.54184 Å, from the PBE geometry in the Materials Project.

Structural model:
Lattice parameters (Å, degrees): 7.795 7.795 7.795 90.00 90.00 90.00
Space group Fm-3m (No. 225)
Asymmetric unit:
Li1 0.000 0.000 0.000 [4 per cell]
Ca1 0.250 0.250 0.250 [8 per cell]
Re1 0.000 0.000 0.500 [4 per cell]
O1 0.000 0.000 0.258 [24 per cell]

Largest 10 diffraction maxima, in order of falling intensity, 2θ = 15–90°:
- 19.7 deg, rel. 100, hkl 1 1 1
- 32.5 deg, rel. 75, hkl 2 2 0
- 38.3 deg, rel. 53, hkl 3 1 1
- 46.6 deg, rel. 31, hkl 4 0 0
- 22.8 deg, rel. 30, hkl 2 0 0
- 58.0 deg, rel. 29, hkl 4 2 2
- 51.1 deg, rel. 22, hkl 3 3 1
- 61.9 deg, rel. 19, hkl 5 1 1
- 71.6 deg, rel. 18, hkl 5 3 1
- 68.0 deg, rel. 18, hkl 4 4 0